1.
# InPd4Pt5
Theoretical powder X-ray diffraction pattern, Cu Kα. Input: the GGA-PBE geometry in Alexandria.

Atomic structure:
```
data_InPd4Pt5
_cell_length_a 4.812
_cell_length_b 5.474
_cell_length_c 7.188
_cell_angle_alpha 70.01
_cell_angle_beta 89.10
_cell_angle_gamma 87.91
_symmetry_space_group_name_H-M 'P 1'
_symmetry_Int_Tables_number 1
loop_
_symmetry_equiv_pos_as_xyz
'x,y,z'
loop_
_atom_site_label
_atom_site_type_symbol
_atom_site_fract_x
_atom_site_fract_y
_atom_site_fract_z
In1 In 0.000 0.000 0.000
Pd1 Pd 0.165 0.583 0.337
Pd2 Pd 0.497 0.248 0.006
Pd3 Pd 0.503 0.752 0.994
Pd4 Pd 0.835 0.417 0.663
Pt1 Pt 0.000 0.500 0.000
Pt2 Pt 0.317 0.671 0.669
Pt3 Pt 0.351 0.159 0.655
Pt4 Pt 0.649 0.841 0.345
Pt5 Pt 0.683 0.329 0.331
```

Largest 10 diffraction maxima, low angle first, 15 to 90 degrees two-theta:
- 2θ = 22.7°, rel. 41
- 2θ = 32.4°, rel. 15
- 2θ = 32.8°, rel. 15
- 2θ = 39.8°, rel. 50
- 2θ = 40.1°, rel. 100
- 2θ = 40.3°, rel. 49
- 2θ = 45.4°, rel. 35
- 2θ = 46.3°, rel. 33
- 2θ = 48.1°, rel. 28
- 2θ = 69.0°, rel. 19

2.
# In2Pd5Pt5
Theoretical powder X-ray diffraction pattern, Cu Kα. Input: the GGA-PBE geometry in Alexandria.

Atomic structure:
```
data_In2Pd5Pt5
_cell_length_a 6.389
_cell_length_b 6.389
_cell_length_c 8.967
_cell_angle_alpha 115.88
_cell_angle_beta 115.88
_cell_angle_gamma 36.56
_symmetry_space_group_name_H-M 'P 1'
_symmetry_Int_Tables_number 1
loop_
_symmetry_equiv_pos_as_xyz
'x,y,z'
loop_
_atom_site_label
_atom_site_type_symbol
_atom_site_fract_x
_atom_site_fract_y
_atom_site_fract_z
In1 In 0.084 0.084 0.250
In2 In 0.916 0.916 0.750
Pd1 Pd 0.334 0.334 0.499
Pd2 Pd 0.416 0.416 0.251
Pd3 Pd 0.500 0.500 0.000
Pd4 Pd 0.584 0.584 0.749
Pd5 Pd 0.666 0.666 0.501
Pt1 Pt 0.000 0.000 0.500
Pt2 Pt 0.169 0.169 0.000
Pt3 Pt 0.249 0.249 0.751
Pt4 Pt 0.751 0.751 0.249
Pt5 Pt 0.831 0.831 0.000
```

Largest 10 diffraction maxima, low angle first, 15 to 90 degrees two-theta:
- 2θ = 38.8°, rel. 100
- 2θ = 39.0°, rel. 98
- 2θ = 44.8°, rel. 34
- 2θ = 45.2°, rel. 32
- 2θ = 45.6°, rel. 32
- 2θ = 65.6°, rel. 21
- 2θ = 66.2°, rel. 31
- 2θ = 78.4°, rel. 13
- 2θ = 78.9°, rel. 13
- 2θ = 79.3°, rel. 13

Please write out number 2 again, unchanged.
# In2Pd5Pt5
Theoretical powder X-ray diffraction pattern, Cu Kα. Input: the GGA-PBE geometry in Alexandria.

Atomic structure:
```
data_In2Pd5Pt5
_cell_length_a 6.389
_cell_length_b 6.389
_cell_length_c 8.967
_cell_angle_alpha 115.88
_cell_angle_beta 115.88
_cell_angle_gamma 36.56
_symmetry_space_group_name_H-M 'P 1'
_symmetry_Int_Tables_number 1
loop_
_symmetry_equiv_pos_as_xyz
'x,y,z'
loop_
_atom_site_label
_atom_site_type_symbol
_atom_site_fract_x
_atom_site_fract_y
_atom_site_fract_z
In1 In 0.084 0.084 0.250
In2 In 0.916 0.916 0.750
Pd1 Pd 0.334 0.334 0.499
Pd2 Pd 0.416 0.416 0.251
Pd3 Pd 0.500 0.500 0.000
Pd4 Pd 0.584 0.584 0.749
Pd5 Pd 0.666 0.666 0.501
Pt1 Pt 0.000 0.000 0.500
Pt2 Pt 0.169 0.169 0.000
Pt3 Pt 0.249 0.249 0.751
Pt4 Pt 0.751 0.751 0.249
Pt5 Pt 0.831 0.831 0.000
```

Largest 10 diffraction maxima, low angle first, 15 to 90 degrees two-theta:
- 2θ = 38.8°, rel. 100
- 2θ = 39.0°, rel. 98
- 2θ = 44.8°, rel. 34
- 2θ = 45.2°, rel. 32
- 2θ = 45.6°, rel. 32
- 2θ = 65.6°, rel. 21
- 2θ = 66.2°, rel. 31
- 2θ = 78.4°, rel. 13
- 2θ = 78.9°, rel. 13
- 2θ = 79.3°, rel. 13

Number 1 is which compound?
InPd4Pt5